No. 1
Diffraction record for Li3La2BeNi12. The powder diffractogram is computed, not measured: it uses a crystal structure in Alexandria, relaxed with PBE and Cu Kα X-rays.

Lattice parameters (Å, degrees): 6.0239 6.0239 24.5810 90.00 90.00 120.00
Space group R-3m (No. 166, hexagonal axes)
Inequivalent atoms, fractional coordinates:
Li  0.0000  0.5000  0.0000 (multiplicity 9)
La  0.0000  0.0000  0.1579 (multiplicity 6)
Be  0.0000  0.0000  0.5000 (multiplicity 3)
Ni  0.0654  0.5327  0.0984 (multiplicity 18)
Ni  0.0726  0.5363  0.6136 (multiplicity 18)

Most intense lines, 2θ from 10° to 90°, by angle:
2θ (°), d_spacing, I (rel.)
10.80, 8.194, 29
17.38, 5.103, 27
30.69, 2.913, 25
31.65, 2.827, 52
33.86, 2.648, 28
37.05, 2.427, 50
37.46, 2.401, 100
40.57, 2.224, 44
46.65, 1.947, 53
57.58, 1.601, 40

No. 2
Diffraction record for Ac6YHo2. The powder diffractogram is computed, not measured: it uses a crystal structure in Alexandria, relaxed with PBE and Cu Kα X-rays.

Lattice parameters (Å, degrees): 16.181 9.495 9.967 90.00 100.75 90.00
Space group C2/c (No. 15)
Inequivalent atoms, fractional coordinates:
Ac  0.106  0.189  0.116 (multiplicity 8)
Ac  0.119  0.433  0.826 (multiplicity 8)
Ac  0.134  0.219  0.507 (multiplicity 8)
Y  0.000  0.094  0.750 (multiplicity 4)
Ho  0.219  0.079  0.846 (multiplicity 8)

Most intense lines, 2θ from 10° to 90°, by angle:
2θ (°), d_spacing, I (rel.)
22.37, 3.974, 59
26.15, 3.408, 48
27.09, 3.291, 31
28.47, 3.135, 79
28.62, 3.119, 57
29.42, 3.036, 61
29.86, 2.992, 100
31.99, 2.798, 62
36.86, 2.438, 34
55.98, 1.643, 28

No. 3
Diffraction record for CsTh4Cu3Te12. The powder diffractogram is computed, not measured: it uses a crystal structure in Alexandria, relaxed with PBE and Cu Kα X-rays.

Lattice parameters (Å, degrees): 11.276 11.276 11.276 90.00 90.00 90.00
Space group Im-3 (No. 204)
Inequivalent atoms, fractional coordinates:
Cs  0.000  0.000  0.000 (multiplicity 2)
Th  0.250  0.250  0.250 (multiplicity 8)
Cu  0.000  0.000  0.500 (multiplicity 6)
Te  0.000  0.160  0.329 (multiplicity 24)

Most intense lines, 2θ from 10° to 90°, by angle:
2θ (°), d_spacing, I (rel.)
15.72, 5.638, 26
22.30, 3.987, 61
24.97, 3.566, 81
29.64, 3.014, 40
31.74, 2.819, 25
35.61, 2.521, 44
39.14, 2.302, 100
46.99, 1.934, 23
51.24, 1.783, 28
70.92, 1.329, 40

No. 4
Diffraction record for PmDy3In4. The powder diffractogram is computed, not measured: it uses a crystal structure in Alexandria, relaxed with PBE and Cu Kα X-rays.

Lattice parameters (Å, degrees): 10.709 7.531 5.354 90.00 90.00 90.00
Space group Pmma (No. 51)
Inequivalent atoms, fractional coordinates:
Pm  0.000  0.000  0.000 (multiplicity 2)
Dy  0.000  0.500  0.000 (multiplicity 2)
Dy  0.250  0.000  0.499 (multiplicity 2)
Dy  0.250  0.500  0.498 (multiplicity 2)
In  0.000  0.255  0.500 (multiplicity 4)
In  0.250  0.255  0.998 (multiplicity 4)

Most intense lines, 2θ from 10° to 90°, by angle:
2θ (°), d_spacing, I (rel.)
33.53, 2.672, 100
48.06, 1.893, 12
48.34, 1.883, 6
59.90, 1.544, 25
60.07, 1.540, 12
70.33, 1.339, 4
70.55, 1.335, 7
80.19, 1.197, 11
80.64, 1.191, 5
89.92, 1.091, 4